Record 1
The following is a computed XRD peak list of Ni3TeMo2O11. It was derived from the GGA+U geometry in the Materials Project, using Cu Kα (λ = 1.5418 Å).

Main lines, by intensity (2θ = 10–90°):
2θ (°), I_rel, (hkl)
30.5, 100, 2 2 -2
26.9, 46, 0 2 2
26.7, 41, 0 0 3
43.1, 30, 3 3 -2
29.6, 28, 3 1 -1
33.4, 24, 3 1 1
15.1, 23, 1 1 -1
27.7, 22, 2 2 -1

Cell and atoms:
Lattice parameters (Å, degrees): 9.6782 8.8639 10.3000 90.00 103.32 90.00
Space group C2/m (No. 12)
Symmetry-distinct sites (fractional):
Ni1 0.2360 0.1758 0.1314 x8
Ni2 0.2381 0.0000 0.3891 x4
Te1 0.0857 0.0000 0.8162 x4
Mo1 0.0000 0.2876 0.5000 x4
Mo2 0.0310 0.5000 0.2392 x4
O1 0.1064 0.5000 0.4380 x4
O2 0.1155 0.1632 0.4427 x8
O3 0.1186 0.0000 0.1922 x4
O4 0.1202 0.3464 0.6704 x8
O5 0.1261 0.3435 0.1979 x8
O6 0.1335 0.5000 0.8939 x4
O7 0.1366 0.1657 0.9324 x8

=====

Record 2
The following is a computed XRD peak list of SrLaMnO4F. It was derived from the GGA+U geometry in the Materials Project, using Cu Kα (λ = 1.5418 Å).

Main lines, by intensity (2θ = 10–90°):
2θ (°), I_rel, (hkl)
30.3, 100, 1 0 3
33.3, 59, 1 1 0
42.3, 46, 1 1 4
47.7, 40, 2 0 0
57.6, 33, 2 1 3
24.2, 17, 1 0 1
26.6, 15, 1 0 2
38.6, 15, 0 0 6

Cell and atoms:
Lattice parameters (Å, degrees): 3.8103 3.8103 14.0004 90.00 90.00 90.00
Space group P4/nmm (No. 129, origin choice 2)
Symmetry-distinct sites (fractional):
Sr1 0.2500 0.2500 0.0957 x2
La1 0.2500 0.2500 0.3774 x2
Mn1 0.2500 0.2500 0.7762 x2
O1 0.2500 0.2500 0.6418 x2
O2 0.2500 0.2500 0.9169 x2
O3 0.2500 0.7500 0.2305 x4
F1 0.2500 0.7500 0.5000 x2

=====

Record 3
The following is a computed XRD peak list of Er2WO6. It was derived from the GGA+U geometry in the Materials Project, using Cu Kα (λ = 1.5418 Å).

Main lines, by intensity (2θ = 10–90°):
2θ (°), I_rel, (hkl)
29.5, 100, 0 1 3
28.7, 100, 2 1 -1
33.4, 24, 0 2 0
49.4, 23, 2 2 -4
35.3, 21, 2 0 -4
32.3, 21, 2 0 2
47.2, 17, 2 2 2
32.0, 14, 2 1 1

Cell and atoms:
Lattice parameters (Å, degrees): 7.6630 5.3586 11.4031 90.00 104.66 90.00
Space group P2/c (No. 13)
Symmetry-distinct sites (fractional):
Er1 0.0000 0.1842 0.2500 x2
Er2 0.2942 0.3165 0.9217 x4
Er3 0.5000 0.2402 0.2500 x2
W1 0.2234 0.2439 0.6148 x4
O1 0.0111 0.1380 0.8851 x4
O2 0.1340 0.3487 0.4508 x4
O3 0.2103 0.4791 0.2289 x4
O4 0.2916 0.0409 0.7738 x4
O5 0.3472 0.0362 0.0694 x4
O6 0.4405 0.4565 0.6046 x4

=====

Record 4
The following is a computed XRD peak list of MoP5O15. It was derived from the GGA+U geometry in the Materials Project, using Cu Kα (λ = 1.5418 Å).

Main lines, by intensity (2θ = 10–90°):
2θ (°), I_rel, (hkl)
10.1, 100, 0 0 1
16.2, 68, 0 2 1
25.4, 66, 1 2 1
20.3, 61, 0 0 2
21.8, 52, 1 2 -1
17.7, 49, 1 0 -1
12.6, 40, 0 2 0
21.3, 40, 1 2 0

Cell and atoms:
Lattice parameters (Å, degrees): 5.3346 14.0177 9.0224 90.00 103.75 90.00
Space group P2_1/m (No. 11)
Symmetry-distinct sites (fractional):
Mo1 0.0000 0.0000 0.0000 x2
P1 0.0149 0.2500 0.5084 x2
P2 0.1501 0.5783 0.6798 x4
P3 0.4925 0.6425 0.9756 x4
O1 0.0067 0.0293 0.2181 x4
O2 0.0403 0.1633 0.3969 x4
O3 0.2202 0.1207 0.9935 x4
O4 0.2334 0.7500 0.4387 x2
O5 0.2342 0.2500 0.6495 x2
O6 0.2702 0.5220 0.5794 x4
O7 0.3414 0.5813 0.0609 x4
O8 0.3726 0.6431 0.7981 x4
O9 0.4646 0.7500 0.0261 x2